Entry 1:
PmMg6Sn6: theoretical X-ray diffraction stick pattern (a wavelength of 1.5418 Å), based on a DFT-relaxed cell (GGA-PBE, Alexandria).
Lines closer than 0.1° are merged.

Top 10 peaks for 10° ≤ 2θ ≤ 90°, low angle first:
2θ 18.83, I = 189, (0 0 2)
2θ 28.52, I = 1000, (1 1 0)
2θ 32.98, I = 404, (1 0 3)
2θ 34.40, I = 628, (1 1 2)
2θ 38.31, I = 164, (2 0 2)
2θ 40.69, I = 177, (1 1 3)
2θ 50.50, I = 213, (3 0 0)
2θ 54.37, I = 172, (3 0 2)
2θ 59.01, I = 268, (2 2 0)
2θ 66.62, I = 231, (1 1 6)

Cell and atoms:
Cell lengths 6.2602, 6.2602, 9.4235 Å; angles 90.00, 90.00, 120.00 degrees
Space group P6/mmm (No. 191)
Asymmetric unit:
Pm  0.0000  0.0000  0.0000 (multiplicity 1)
Mg  0.0000  0.5000  0.2444 (multiplicity 6)
Sn  0.0000  0.0000  0.3423 (multiplicity 2)
Sn  0.3333  0.6667  0.0000 (multiplicity 2)
Sn  0.3333  0.6667  0.5000 (multiplicity 2)

***

Entry 2:
Pm2Mg3Sn4: theoretical X-ray diffraction stick pattern (a wavelength of 1.5418 Å), based on a DFT-relaxed cell (GGA-PBE, Alexandria).
Lines closer than 0.1° are merged.

Top 10 peaks for 10° ≤ 2θ ≤ 90°, low angle first:
2θ 23.27, I = 313, (0 2 2)
2θ 29.68, I = 575, (1 3 2)
2θ 31.48, I = 610, (2 2 1)
2θ 31.97, I = 1000, (1 5 1)
2θ 33.02, I = 743, (0 2 3)
2θ 33.93, I = 296, (0 6 1)
2θ 34.73, I = 869, (2 0 2)
2θ 35.17, I = 320, (2 4 0)
2θ 45.78, I = 256, (1 7 2)
2θ 51.65, I = 262, (3 5 1)

Cell and atoms:
Cell lengths 6.459, 16.656, 8.607 Å; angles 90.00, 90.00, 90.00 degrees
Space group Cmce (No. 64)
Asymmetric unit:
Pm  0.000  0.114  0.084 (multiplicity 8)
Mg  0.000  0.000  0.500 (multiplicity 4)
Mg  0.250  0.215  0.750 (multiplicity 8)
Sn  0.000  0.184  0.451 (multiplicity 8)
Sn  0.250  0.045  0.750 (multiplicity 8)